[1]
Simulated XRD peak list
Compound: Na2ScMnO4
Radiation: CuKα
Structure: a PBE+U-relaxed structure
Kinematic intensities with the Lorentz-polarization factor, no thermal factor.

Structural model:
```
Na2ScMnO4
1.0
5.279 0.000 0.000
0.000 3.120 0.000
-1.781 0.000 5.428
Na Sc Mn O
2 1 1 4
Direct
0.000 0.000 0.000
0.500 0.500 0.000
0.000 0.500 0.500
0.500 0.000 0.500
0.247 0.000 0.702
0.277 0.500 0.301
0.723 0.500 0.699
0.753 0.000 0.298
```

Main lines, low angle first (5 to 70 degrees two-theta):
d_spacing	two_theta	intensity
5.428	16.33	693
2.714	33.00	184
2.552	35.16	246
2.508	35.80	118
2.240	40.26	1000
2.219	40.66	481
1.624	56.68	272
1.609	57.26	132
1.560	59.23	141
1.533	60.40	259

---

[2]
Simulated XRD peak list
Compound: Na2MnSe2O6
Radiation: CuKα
Structure: a PBE+U-relaxed structure
Kinematic intensities with the Lorentz-polarization factor, no thermal factor.

Structural model:
```
Na2MnSe2O6
1.0
5.602 0.000 0.000
-2.801 4.852 0.000
0.000 0.000 5.983
Na Mn Se O
2 1 2 6
Direct
0.333 0.667 0.404
0.667 0.333 0.596
0.000 0.000 0.000
0.333 0.667 0.904
0.667 0.333 0.096
0.094 0.731 0.773
0.269 0.363 0.773
0.363 0.094 0.227
0.637 0.906 0.773
0.731 0.637 0.227
0.906 0.269 0.227
```

Main lines, low angle first (5 to 70 degrees two-theta):
d_spacing	two_theta	intensity
5.983	14.81	1000
4.852	18.29	139
3.768	23.61	507
2.801	31.95	850
2.546	35.25	807
2.537	35.38	608
2.045	44.30	368
1.884	48.31	259
1.617	56.94	260
1.563	59.12	454

---

[3]
Simulated XRD peak list
Compound: NaMn2Si3O9
Radiation: CuKα
Structure: a PBE+U-relaxed structure
Kinematic intensities with the Lorentz-polarization factor, no thermal factor.

Structural model:
```
NaMn2Si3O9
1.0
6.571 0.000 0.000
0.183 7.269 0.000
0.327 1.116 7.409
Na Mn Si O
2 4 6 18
Direct
0.000 0.000 0.000
0.238 0.441 0.176
0.482 0.150 0.437
0.489 0.660 0.421
0.751 0.779 0.750
0.782 0.327 0.713
0.266 0.741 0.810
0.285 0.309 0.802
0.478 0.972 0.049
0.765 0.448 0.132
0.970 0.121 0.367
0.977 0.687 0.382
0.042 0.820 0.753
0.063 0.241 0.769
0.193 0.601 0.438
0.194 0.186 0.405
0.272 0.515 0.866
0.313 0.816 0.005
0.368 0.178 0.990
0.461 0.804 0.668
0.471 0.301 0.648
0.512 0.948 0.267
0.561 0.432 0.265
0.685 0.947 0.925
0.736 0.500 0.916
0.779 0.140 0.514
0.791 0.635 0.540
0.903 0.251 0.173
0.909 0.609 0.197
0.977 0.912 0.314
```

Main lines, low angle first (5 to 70 degrees two-theta):
d_spacing	two_theta	intensity
6.563	13.49	154
3.172	28.13	230
3.060	29.19	1000
3.045	29.33	362
3.006	29.72	209
2.958	30.21	422
2.796	32.01	583
2.470	36.38	166
2.122	42.62	183
1.809	50.44	240

---

[4]
Simulated XRD peak list
Compound: Na2Mn2TcO6
Radiation: CuKα
Structure: a PBE+U-relaxed structure
Kinematic intensities with the Lorentz-polarization factor, no thermal factor.

Structural model:
```
Na2Mn2TcO6
1.0
2.793 -4.477 0.000
2.793 4.477 0.000
-2.057 0.000 5.530
Na Mn Tc O
2 2 1 6
Direct
0.176 0.824 0.000
0.824 0.176 0.000
0.334 0.666 0.500
0.666 0.334 0.500
0.000 0.000 0.500
0.032 0.379 0.701
0.262 0.262 0.328
0.379 0.032 0.701
0.621 0.968 0.299
0.738 0.738 0.672
0.968 0.621 0.299
```

Main lines, low angle first (5 to 70 degrees two-theta):
d_spacing	two_theta	intensity
5.530	16.03	1000
4.520	19.64	151
2.767	32.36	266
2.593	34.59	142
2.521	35.61	173
2.355	38.22	337
2.206	40.91	494
1.747	52.37	128
1.642	55.99	155
1.579	58.44	157

---

[5]
Simulated XRD peak list
Compound: NaMnTe2O6
Radiation: CuKα
Structure: a PBE+U-relaxed structure
Kinematic intensities with the Lorentz-polarization factor, no thermal factor.

Structural model:
```
NaMnTe2O6
1.0
5.500 0.000 0.000
2.662 5.047 0.000
2.748 1.315 5.793
Na Mn Te O
1 1 2 6
Direct
0.000 0.000 0.000
0.594 0.597 0.228
0.272 0.270 0.194
0.814 0.810 0.583
0.195 0.614 0.411
0.422 0.016 0.007
0.577 0.420 0.027
0.606 0.789 0.421
0.809 0.162 0.418
0.995 0.561 0.038
```

Main lines, low angle first (5 to 70 degrees two-theta):
d_spacing	two_theta	intensity
5.793	15.30	693
4.306	20.63	528
4.244	20.93	1000
3.398	26.23	569
3.181	28.05	924
2.890	30.94	626
2.846	31.44	557
2.750	32.56	397
2.122	42.61	271
2.105	42.98	250

---

[6]
Simulated XRD peak list
Compound: NaTm2MnO5
Radiation: CuKα
Structure: a PBE+U-relaxed structure
Kinematic intensities with the Lorentz-polarization factor, no thermal factor.

Structural model:
```
NaTm2MnO5
1.0
6.365 0.000 0.000
0.000 6.365 0.000
0.000 0.000 5.670
Na Tm Mn O
2 4 2 10
Direct
0.000 0.000 0.000
0.500 0.500 0.000
0.178 0.322 0.500
0.322 0.822 0.500
0.678 0.178 0.500
0.822 0.678 0.500
0.000 0.500 0.000
0.500 0.000 0.000
0.000 0.000 0.500
0.140 0.640 0.247
0.140 0.640 0.753
0.360 0.140 0.247
0.360 0.140 0.753
0.500 0.500 0.500
0.640 0.860 0.247
0.640 0.860 0.753
0.860 0.360 0.247
0.860 0.360 0.753
```

Main lines, low angle first (5 to 70 degrees two-theta):
d_spacing	two_theta	intensity
5.670	15.63	1000
2.846	31.43	356
2.835	31.56	342
2.775	32.26	707
2.544	35.28	868
2.009	45.12	721
1.897	47.96	229
1.575	58.63	197
1.489	62.34	253
1.356	69.31	202

---

[7]
Simulated XRD peak list
Compound: NaYMnWO6
Radiation: CuKα
Structure: a PBE+U-relaxed structure
Kinematic intensities with the Lorentz-polarization factor, no thermal factor.

Structural model:
```
NaYMnWO6
1.0
5.477 0.000 0.000
0.000 5.674 0.000
-0.012 0.000 8.000
Na Y Mn W O
2 2 2 2 12
Direct
0.247 0.000 0.499
0.753 0.500 0.501
0.234 0.903 0.998
0.766 0.403 0.002
0.252 0.459 0.741
0.748 0.959 0.259
0.263 0.469 0.255
0.737 0.969 0.745
0.030 0.160 0.820
0.069 0.193 0.177
0.171 0.429 0.479
0.365 0.512 0.006
0.410 0.775 0.283
0.436 0.804 0.726
0.564 0.304 0.274
0.590 0.275 0.717
0.635 0.012 0.994
0.829 0.929 0.521
0.931 0.693 0.823
0.970 0.660 0.180
```

Main lines, low angle first (5 to 70 degrees two-theta):
d_spacing	two_theta	intensity
4.628	19.18	319
4.520	19.64	290
3.941	22.56	285
2.837	31.54	256
2.807	31.88	1000
2.739	32.70	240
2.401	37.45	154
1.970	46.07	242
1.634	56.32	202
1.594	57.85	234

---

Which formula does entry 3 have?
NaMn2Si3O9